# HgTe4Au
Computed powder diffraction line list, copper Kα. Input: a structure optimized by DFT (PBE).

Principal peaks in the range 2θ = 10–90°, by angle:
| h k l | 2θ (°) | I/Imax |
| --- | --- | --- |
| 0 0 2 | 22.70 | 52 |
| 1 1 0 | 25.94 | 100 |
| 1 0 -2 | 27.14 | 24 |
| 1 0 2 | 27.84 | 27 |
| 1 1 -1 | 28.20 | 24 |
| 1 1 -2 | 34.45 | 27 |
| 1 1 2 | 35.02 | 26 |
| 2 1 -1 | 39.08 | 39 |
| 2 1 1 | 39.59 | 55 |
| 0 1 3 | 40.50 | 35 |
| 0 2 0 | 42.37 | 33 |
| 1 1 3 | 43.88 | 26 |

a b c (Å): 5.7906 4.2669 7.8379
angles (deg): 90.00 91.56 90.00
Fractional coordinates of all 6 atoms:
Hg  0.0000  0.0000  0.0000
Te  0.2060  0.0000  0.4051
Te  0.3247  0.5000  0.8786
Te  0.6753  0.5000  0.1214
Te  0.7940  0.0000  0.5949
Au  0.5000  0.5000  0.5000